Starting from the GGA-PBE geometry in Alexandria, the powder XRD pattern of Nd3HgI3 was simulated for copper Kα.
Intensities are scaled so that the largest is 100.

Most intense lines, 2θ = 15–90°, low angle first:
| Position (°2θ) | intensity | h k l |
| --- | --- | --- |
| 22.1 | 7.4 | 3 1 0 |
| 28.1 | 100.0 | 4 0 0 |
| 29.8 | 5.7 | 4 1 1 |
| 36.1 | 7.9 | 5 1 0 |
| 40.2 | 74.5 | 4 4 0 |
| 49.7 | 26.0 | 4 4 4 |
| 58.1 | 11.9 | 8 0 0 |
| 65.8 | 31.8 | 8 4 0 |
| 73.0 | 22.8 | 8 4 4 |
| 86.8 | 7.1 | 8 8 0 |

Atomic structure:
abc: 12.6994 12.6994 12.6994
angles: 90.00 90.00 90.00
Space group I4_132 (No. 214)
Asymmetric unit:
Nd 0.1142 0.3642 0.1250 (multiplicity 24)
Hg 0.1250 0.1250 0.1250 (multiplicity 8)
I 0.1178 0.1322 0.6250 (multiplicity 24)

Starting from the GGA-PBE geometry in Alexandria, the powder XRD pattern of Ba2InBiO was simulated for copper Kα.
Intensities are scaled so that the largest is 100.

Most intense lines, 2θ = 15–90°, low angle first:
| Position (°2θ) | intensity | h k l |
| --- | --- | --- |
| 25.4 | 28.1 | 2 0 0 |
| 25.7 | 16.8 | 1 1 1 |
| 25.9 | 100.0 | 0 1 2 |
| 26.7 | 24.1 | 2 0 -2 |
| 31.9 | 48.2 | 2 1 0 |
| 32.4 | 50.7 | 1 0 3 |
| 32.9 | 36.0 | 2 1 -2 |
| 34.9 | 18.0 | 2 0 2 |
| 38.4 | 27.5 | 0 2 0 |
| 47.3 | 23.2 | 1 1 -5 |

Atomic structure:
abc: 7.2886 4.6886 10.5330
angles: 90.00 105.84 90.00
Space group P2_1/m (No. 11)
Asymmetric unit:
Ba 0.1771 0.2500 0.3943 (multiplicity 2)
Ba 0.2983 0.7500 0.0920 (multiplicity 2)
In 0.3519 0.7500 0.6672 (multiplicity 2)
Bi 0.1777 0.2500 0.7953 (multiplicity 2)
O 0.3471 0.2500 0.2173 (multiplicity 2)

Starting from the GGA-PBE geometry in Alexandria, the powder XRD pattern of Nb3SiO10 was simulated for copper Kα.
Intensities are scaled so that the largest is 100.

Most intense lines, 2θ = 15–90°, low angle first:
| Position (°2θ) | intensity | h k l |
| --- | --- | --- |
| 24.8 | 99.8 | 1 -1 0 |
| 25.1 | 90.1 | 1 1 -1 |
| 27.0 | 75.2 | 1 1 0 |
| 28.5 | 100.0 | 0 0 2 |
| 30.2 | 42.1 | 1 -1 1 |
| 30.7 | 45.2 | 1 1 -2 |
| 33.8 | 43.9 | 0 2 0 |
| 35.4 | 26.2 | 1 1 1 |
| 54.1 | 35.3 | 1 1 -4 |
| 54.9 | 26.7 | 2 -2 1 |

Atomic structure:
abc: 4.8184 5.4380 6.8226
angles: 102.00 109.77 90.46
Space group P1 (No. 1)
Asymmetric unit:
Nb 0.0000 0.0000 0.0000 (multiplicity 1)
Nb 0.2648 0.4645 0.4859 (multiplicity 1)
Nb 0.5582 0.5126 0.0472 (multiplicity 1)
Si 0.7678 0.9444 0.4551 (multiplicity 1)
O 0.0128 0.2161 0.5268 (multiplicity 1)
O 0.0686 0.7517 0.5267 (multiplicity 1)
O 0.1932 0.7109 0.9725 (multiplicity 1)
O 0.3306 0.2090 0.9868 (multiplicity 1)
O 0.4471 0.1166 0.3698 (multiplicity 1)
O 0.5313 0.6451 0.3589 (multiplicity 1)
O 0.5667 0.5173 0.7696 (multiplicity 1)
O 0.7570 0.9912 0.7200 (multiplicity 1)
O 0.7853 0.8799 0.1817 (multiplicity 1)
O 0.9412 0.3652 0.1641 (multiplicity 1)